Diffraction record for Ho5Er2Ru5. The powder XRD pattern is theoretical, not measured: it uses a DFT-relaxed cell (PBE, Alexandria) and a wavelength of 1.5418 Å.
Neutral-atom scattering factors, no anomalous dispersion.

Main lines, sorted by position (10 to 90 degrees two-theta):
26.66 deg, rel. 14.9; 31.32 deg, rel. 19.7; 33.06 deg, rel. 19.7; 36.78 deg, rel. 40.3; 37.37 deg, rel. 100.0; 38.73 deg, rel. 20.9; 53.43 deg, rel. 13.7; 67.01 deg, rel. 13.7; 67.40 deg, rel. 17.6; 79.68 deg, rel. 11.0

Structural model:
Unit cell a=4.814 b=4.814 c=13.362 alpha=100.32 beta=100.32 gamma=59.99
Atoms (fractional coordinates):
1 Ho 0.000 0.000 0.000
2 Ho 0.190 0.190 0.571
3 Ho 0.284 0.284 0.853
4 Ho 0.716 0.716 0.147
5 Ho 0.810 0.810 0.429
6 Er 0.428 0.428 0.284
7 Er 0.572 0.572 0.716
8 Ru 0.115 0.115 0.344
9 Ru 0.355 0.355 0.065
10 Ru 0.500 0.500 0.500
11 Ru 0.645 0.645 0.935
12 Ru 0.885 0.885 0.656